Starting from a PBE+U-relaxed structure, the powder diffraction line list of KLiTb2Mo4O16 was calculated for Cu Kα, 1.54184 Å.
Lines closer than 0.1° are merged.

Peak list (10 most intense, 2θ = 5–70°, low angle first)
- 2θ 8.93, 9.898 Å, rel. 100.0
- 2θ 24.75, 3.598 Å, rel. 19.0
- 2θ 26.49, 3.365 Å, rel. 28.9
- 2θ 26.87, 3.318 Å, rel. 18.3
- 2θ 27.46, 3.248 Å, rel. 22.1
- 2θ 27.97, 3.190 Å, rel. 19.5
- 2θ 28.05, 3.181 Å, rel. 36.7
- 2θ 29.58, 3.020 Å, rel. 16.3
- 2θ 30.00, 2.978 Å, rel. 25.7
- 2θ 33.97, 2.639 Å, rel. 17.7

Atomic structure:
```
KLiTb2Mo4O16
1.0
2.6464 -6.3994 0.0000
2.6464 6.3994 0.0000
-1.4426 0.0000 19.7963
K Li Tb Mo O
2 2 4 8 32
Direct
0.0321 0.9679 0.7500 K
0.9679 0.0321 0.2500 K
0.3125 0.6875 0.7500 Li
0.6875 0.3125 0.2500 Li
0.1457 0.8522 0.5317 Tb
0.1478 0.8543 0.9683 Tb
0.8522 0.1457 0.0317 Tb
0.8543 0.1478 0.4683 Tb
0.2381 0.7286 0.3540 Mo
0.2714 0.7619 0.1460 Mo
0.4158 0.5403 0.9085 Mo
0.4597 0.5842 0.5915 Mo
0.5403 0.4158 0.4085 Mo
0.5842 0.4597 0.0915 Mo
0.7286 0.2381 0.8540 Mo
0.7619 0.2714 0.6460 Mo
0.0154 0.7459 0.1692 O
0.0542 0.5777 0.4335 O
0.0620 0.4733 0.2868 O
0.0997 0.4099 0.1301 O
0.1693 0.5040 0.9593 O
0.2186 0.2585 0.5383 O
0.2237 0.3210 0.4001 O
0.2541 0.9846 0.3308 O
0.2585 0.2186 0.0383 O
0.3105 0.4945 0.6701 O
0.3210 0.2237 0.9001 O
0.4099 0.0997 0.6301 O
0.4223 0.9458 0.0665 O
0.4733 0.0620 0.7868 O
0.4945 0.3105 0.1701 O
0.4960 0.8307 0.5407 O
0.5040 0.1693 0.4593 O
0.5055 0.6895 0.8299 O
0.5267 0.9380 0.2132 O
0.5777 0.0542 0.9335 O
0.5901 0.9003 0.3699 O
0.6790 0.7763 0.0999 O
0.6895 0.5055 0.3299 O
0.7415 0.7814 0.9617 O
0.7459 0.0154 0.6692 O
0.7763 0.6790 0.5999 O
0.7814 0.7415 0.4617 O
0.8307 0.4960 0.0407 O
0.9003 0.5901 0.8699 O
0.9380 0.5267 0.7132 O
0.9458 0.4223 0.5665 O
0.9846 0.2541 0.8308 O
```